Entry 1:
The following is a computed X-ray diffraction stick pattern of Cu4Pt7. It was derived from a crystal structure in Alexandria, relaxed with GGA-PBE, using Cu Kα (weighted mean of Kα1 and Kα2).
No peak broadening, texture or thermal motion is included.

```
11
Lattice="4.7119 0.0000 0.0000 0.7791 4.7145 0.0000 0.0148 0.8433 7.1855" Properties=species:S:1:pos:R:3 pbc="T T T"
Cu 0.7899 2.3041 1.3109
Cu 1.5641 4.5960 2.6237
Cu 3.9416 0.9617 4.5618
Cu 4.7158 3.2536 5.8746
Pt 0.0000 0.0000 0.0000
Pt 1.5487 2.1739 3.9108
Pt 2.3513 4.4786 5.2106
Pt 2.3646 2.0653 6.5200
Pt 3.1412 3.4924 0.6655
Pt 3.1545 1.0792 1.9749
Pt 3.9571 3.3838 3.2747
```

Peak list (12 most intense, 15 to 90 degrees two-theta, in order of rising 2θ)
d 2.242, I 100
d 2.234, I 50
d 2.222, I 49
d 1.949, I 33
d 1.930, I 64
d 1.378, I 11
d 1.374, I 11
d 1.367, I 21
d 1.168, I 19
d 1.166, I 12
d 1.164, I 12
d 1.161, I 12

***

Entry 2:
The following is a computed X-ray diffraction stick pattern of Pu3CuPt2. It was derived from a crystal structure in Alexandria, relaxed with GGA-PBE, using Cu Kα (weighted mean of Kα1 and Kα2).
No peak broadening, texture or thermal motion is included.

```
24
Lattice="11.6002 0.0000 0.0000 0.0000 4.2778 0.0000 0.0000 0.0000 10.7944" Properties=species:S:1:pos:R:3 pbc="T T T"
Pu 0.5325 1.0694 1.3301
Pu 1.5431 3.2083 6.1807
Pu 2.4949 1.0694 8.6499
Pu 3.3052 3.2083 3.2527
Pu 4.2570 1.0694 0.7835
Pu 5.2676 3.2083 6.7273
Pu 6.3326 1.0694 4.0671
Pu 7.3432 3.2083 10.0109
Pu 8.2950 1.0694 7.5417
Pu 9.1053 3.2083 2.1445
Pu 10.0571 1.0694 4.6137
Pu 11.0677 3.2083 9.4643
Cu 1.4482 1.0694 4.1357
Cu 4.3520 3.2083 9.5329
Cu 7.2483 1.0694 1.2615
Cu 10.1521 3.2083 6.6587
Pt 0.1779 3.2083 3.4099
Pt 2.1207 3.2083 0.0515
Pt 3.6794 1.0694 5.4487
Pt 5.6222 1.0694 8.8071
Pt 5.9780 3.2083 1.9873
Pt 7.9208 3.2083 5.3457
Pt 9.4795 1.0694 10.7428
Pt 11.4224 1.0694 7.3845
```

Peak list (12 most intense, 15 to 90 degrees two-theta, in order of rising 2θ)
d 2.902, I 47
d 2.801, I 31
d 2.754, I 74
d 2.679, I 45
d 2.628, I 29
d 2.555, I 25
d 2.533, I 100
d 2.343, I 35
d 2.193, I 34
d 2.139, I 61
d 1.885, I 37
d 1.414, I 29

***

Entry 3:
The following is a computed X-ray diffraction stick pattern of Pu2CuPt3. It was derived from a crystal structure in Alexandria, relaxed with GGA-PBE, using Cu Kα (weighted mean of Kα1 and Kα2).
No peak broadening, texture or thermal motion is included.

```
6
Lattice="2.7641 1.5958 4.2096 -2.7641 1.5958 4.2096 0.0000 -3.1917 4.2096" Properties=species:S:1:pos:R:3 pbc="T T T"
Pu 0.0000 0.0000 1.5546
Pu 0.0000 0.0000 11.0741
Cu 0.0000 0.0000 6.3144
Pt -1.3820 -0.7979 4.2096
Pt -1.3820 0.7979 8.4191
Pt 0.0000 1.5958 4.2096
```

Peak list (12 most intense, 15 to 90 degrees two-theta, in order of rising 2θ)
d 2.764, I 26
d 2.636, I 67
d 2.352, I 100
d 2.311, I 91
d 2.236, I 98
d 1.570, I 29
d 1.492, I 23
d 1.471, I 25
d 1.441, I 21
d 1.382, I 33
d 1.318, I 28
d 1.176, I 19

***

Entry 4:
The following is a computed X-ray diffraction stick pattern of PuCuPt4. It was derived from a crystal structure in Alexandria, relaxed with GGA-PBE, using Cu Kα (weighted mean of Kα1 and Kα2).
No peak broadening, texture or thermal motion is included.

```
6
Lattice="0.0000 3.7701 3.7701 3.7701 0.0000 3.7701 3.7701 3.7701 0.0000" Properties=species:S:1:pos:R:3 pbc="T T T"
Pu 0.0000 0.0000 0.0000
Cu 5.6552 5.6552 5.6552
Pt 2.8318 2.8318 2.8318
Pt 4.7085 4.7085 2.8318
Pt 4.7085 2.8318 4.7085
Pt 2.8318 4.7085 4.7085
```

Peak list (12 most intense, 15 to 90 degrees two-theta, in order of rising 2θ)
d 4.353, I 20
d 3.770, I 7
d 2.666, I 19
d 2.273, I 100
d 2.177, I 49
d 1.885, I 8
d 1.730, I 5
d 1.539, I 7
d 1.451, I 33
d 1.333, I 29
d 1.150, I 12
d 1.137, I 19

***

Entry 5:
The following is a computed X-ray diffraction stick pattern of Pu2CuSi3Pt12. It was derived from a crystal structure in Alexandria, relaxed with GGA-PBE, using Cu Kα (weighted mean of Kα1 and Kα2).
No peak broadening, texture or thermal motion is included.

```
18
Lattice="4.0875 2.3599 5.9872 -4.0875 2.3599 5.9872 0.0000 -4.7199 5.9872" Properties=species:S:1:pos:R:3 pbc="T T T"
Pu 0.0000 0.0000 2.1141
Pu 0.0000 0.0000 15.8475
Cu 0.0000 0.0000 8.9808
Si -2.0438 -1.1800 5.9872
Si -2.0438 1.1800 11.9744
Si 0.0000 2.3599 5.9872
Pt -2.0708 -1.1956 8.3170
Pt 0.0000 -2.2172 5.3129
Pt -1.9202 1.1086 5.3129
Pt 0.0000 -2.3911 9.6447
Pt -2.0708 1.1956 9.6447
Pt -1.9201 -1.1086 12.6488
Pt 1.9202 1.1086 5.3129
Pt 2.0708 -1.1956 8.3170
Pt 0.0000 2.3911 8.3170
Pt 1.9202 -1.1086 12.6488
Pt 0.0000 2.2172 12.6488
Pt 2.0708 1.1956 9.6447
```

Peak list (12 most intense, 15 to 90 degrees two-theta, in order of rising 2θ)
d 3.376, I 7
d 3.204, I 7
d 2.780, I 100
d 2.044, I 52
d 1.896, I 40
d 1.647, I 21
d 1.497, I 6
d 1.390, I 14
d 1.282, I 18
d 1.208, I 13
d 1.180, I 8
d 1.149, I 15

***

Entry 6:
The following is a computed X-ray diffraction stick pattern of RbCuPtS2. It was derived from a crystal structure in Alexandria, relaxed with GGA-PBE, using Cu Kα (weighted mean of Kα1 and Kα2).
No peak broadening, texture or thermal motion is included.

```
5
Lattice="3.7155 0.0000 0.0000 0.0000 4.0934 0.0000 0.0000 0.0000 7.0368" Properties=species:S:1:pos:R:3 pbc="T T T"
Rb 0.0000 0.0000 0.0000
Cu 1.8578 0.0000 3.5184
Pt 0.0000 2.0467 3.5184
S 1.8578 2.0467 2.0044
S 1.8578 2.0467 5.0324
```

Peak list (12 most intense, 15 to 90 degrees two-theta, in order of rising 2θ)
d 3.538, I 53
d 3.518, I 42
d 2.562, I 100
d 2.555, I 32
d 2.167, I 30
d 2.047, I 20
d 1.858, I 14
d 1.785, I 45
d 1.769, I 13
d 1.644, I 22
d 1.597, I 15
d 1.124, I 14

***

Entry 7:
The following is a computed X-ray diffraction stick pattern of Cu4PtRh. It was derived from a crystal structure in Alexandria, relaxed with GGA-PBE, using Cu Kα (weighted mean of Kα1 and Kα2).
No peak broadening, texture or thermal motion is included.

```
12
Lattice="3.8682 -4.9818 0.0000 3.8682 4.9818 0.0000 0.0000 0.0000 4.1511" Properties=species:S:1:pos:R:3 pbc="T T T"
Cu 1.2664 0.6792 1.0378
Cu 2.5979 1.7893 3.1133
Cu 1.2664 -0.6792 3.1133
Cu 5.1386 1.7893 3.1133
Cu 2.5979 -1.7893 1.0378
Cu 6.4700 0.6792 1.0378
Cu 5.1386 -1.7893 1.0378
Cu 6.4700 -0.6792 3.1133
Pt 3.8682 3.2561 1.0378
Pt 3.8682 -3.2561 3.1133
Rh 3.8682 0.6613 1.0378
Rh 3.8682 -0.6613 3.1133
```

Peak list (12 most intense, 15 to 90 degrees two-theta, in order of rising 2θ)
d 3.868, I 11
d 3.434, I 16
d 3.052, I 8
d 2.138, I 100
d 2.076, I 24
d 2.037, I 22
d 1.829, I 9
d 1.577, I 8
d 1.454, I 14
d 1.210, I 15
d 1.193, I 8
d 1.104, I 11

***

Entry 8:
The following is a computed X-ray diffraction stick pattern of CuPt4Rh2. It was derived from a crystal structure in Alexandria, relaxed with GGA-PBE, using Cu Kα (weighted mean of Kα1 and Kα2).
No peak broadening, texture or thermal motion is included.

```
7
Lattice="2.6940 -8.4296 0.0000 2.6940 8.4296 0.0000 0.0000 0.0000 2.7225" Properties=species:S:1:pos:R:3 pbc="T T T"
Cu 0.0000 0.0000 0.0000
Pt 1.3470 4.2148 0.0000
Pt 2.6940 6.3236 1.3613
Pt 1.3470 -4.2148 0.0000
Pt 2.6940 -6.3236 1.3613
Rh 2.6940 2.2820 1.3613
Rh 2.6940 -2.2820 1.3613
```

Peak list (12 most intense, 15 to 90 degrees two-theta, in order of rising 2θ)
d 5.132, I 28
d 2.566, I 23
d 2.287, I 100
d 2.270, I 74
d 2.107, I 38
d 1.945, I 16
d 1.915, I 45
d 1.867, I 23
d 1.417, I 32
d 1.167, I 18
d 1.161, I 23
d 1.144, I 13

***

Entry 9:
The following is a computed X-ray diffraction stick pattern of Cu2Pt5Rh. It was derived from a crystal structure in Alexandria, relaxed with GGA-PBE, using Cu Kα (weighted mean of Kα1 and Kα2).
No peak broadening, texture or thermal motion is included.

```
16
Lattice="5.5406 0.0000 0.0000 0.0000 11.0990 0.0000 0.0000 0.0000 3.8201" Properties=species:S:1:pos:R:3 pbc="T T T"
Cu 1.3785 1.3906 0.0000
Cu 1.3918 6.9401 0.0000
Cu 4.1488 4.1589 0.0000
Cu 4.1621 9.7084 0.0000
Pt 0.0000 0.0000 1.9101
Pt 0.0068 8.2969 1.9101
Pt 1.3720 4.1893 0.0000
Pt 1.3983 9.7388 0.0000
Pt 2.7635 2.7474 1.9101
Pt 2.7703 5.5495 1.9101
Pt 2.7771 8.3516 1.9101
Pt 4.1423 1.3602 0.0000
Pt 4.1686 6.9097 0.0000
Pt 5.5338 2.8021 1.9101
Rh 0.0000 5.5495 1.9101
Rh 2.7703 0.0000 1.9101
```

Peak list (12 most intense, 15 to 90 degrees two-theta, in order of rising 2θ)
d 3.921, I 9
d 2.736, I 7
d 2.244, I 100
d 1.960, I 33
d 1.910, I 15
d 1.387, I 5
d 1.385, I 5
d 1.368, I 21
d 1.179, I 26
d 1.157, I 12
d 1.123, I 6
d 1.121, I 6

***

Entry 10:
The following is a computed X-ray diffraction stick pattern of Cu2PtRh. It was derived from a crystal structure in Alexandria, relaxed with GGA-PBE, using Cu Kα (weighted mean of Kα1 and Kα2).
No peak broadening, texture or thermal motion is included.

```
4
Lattice="4.3192 0.0000 0.0000 0.0000 4.3192 0.0000 0.0000 0.0000 2.9090" Properties=species:S:1:pos:R:3 pbc="T T T"
Cu 0.0000 2.1596 0.0000
Cu 2.1596 0.0000 0.0000
Pt 0.0000 0.0000 1.4545
Rh 2.1596 2.1596 1.4545
```

Peak list (12 most intense, 15 to 90 degrees two-theta, in order of rising 2θ)
d 4.319, I 12
d 3.054, I 19
d 2.909, I 8
d 2.413, I 6
d 2.160, I 54
d 2.106, I 100
d 1.734, I 8
d 1.527, I 18
d 1.455, I 7
d 1.366, I 4
d 1.236, I 34
d 1.206, I 16

***

Entry 11:
The following is a computed X-ray diffraction stick pattern of CuPt2Rh4. It was derived from a crystal structure in Alexandria, relaxed with GGA-PBE, using Cu Kα (weighted mean of Kα1 and Kα2).
No peak broadening, texture or thermal motion is included.

```
14
Lattice="-3.7928 3.7928 3.7824 3.7928 -3.7928 3.7824 3.7928 3.7928 -3.7824" Properties=species:S:1:pos:R:3 pbc="T T T"
Cu 0.0000 0.0000 0.0000
Cu 0.0000 3.7928 1.8912
Pt 1.8964 2.8714 -0.9456
Pt 4.7143 1.8964 0.9456
Pt 1.8964 0.9215 2.8368
Pt -0.9215 1.8964 4.7281
Rh 4.4302 2.5288 -1.6295
Rh 2.5288 0.6374 0.2617
Rh 3.1555 -1.2641 3.5207
Rh -0.6374 1.2641 2.1529
Rh 2.5288 3.1555 1.6295
Rh 0.6374 5.0569 -0.2617
Rh 1.2641 0.6374 5.4119
Rh 1.2641 3.1555 4.0442
```

Peak list (12 most intense, 15 to 90 degrees two-theta, in order of rising 2θ)
d 5.357, I 10
d 3.092, I 27
d 2.397, I 100
d 2.025, I 91
d 1.696, I 17
d 1.616, I 14
d 1.547, I 14
d 1.487, I 6
d 1.230, I 20
d 1.228, I 9
d 1.170, I 12
d 1.094, I 6

***

Entry 12:
The following is a computed X-ray diffraction stick pattern of Cu4Pt7Rh. It was derived from a crystal structure in Alexandria, relaxed with GGA-PBE, using Cu Kα (weighted mean of Kα1 and Kα2).
No peak broadening, texture or thermal motion is included.

```
12
Lattice="2.7491 0.0000 0.0000 -1.3745 2.3808 0.0000 0.0000 0.0000 26.5773" Properties=species:S:1:pos:R:3 pbc="T T T"
Cu 0.0000 1.5872 4.4258
Cu 0.0000 1.5872 11.1335
Cu 1.3745 0.7936 15.4438
Cu 1.3745 0.7936 22.1515
Pt 0.0000 0.0000 6.5632
Pt 0.0000 0.0000 13.2886
Pt 0.0000 0.0000 20.0141
Pt 0.0000 1.5872 17.5796
Pt 0.0000 1.5872 24.2955
Pt 1.3745 0.7936 2.2818
Pt 1.3745 0.7936 8.9977
Rh 0.0000 0.0000 0.0000
```

Peak list (12 most intense, 15 to 90 degrees two-theta, in order of rising 2θ)
d 5.315, I 11
d 3.797, I 11
d 2.299, I 8
d 2.241, I 100
d 2.215, I 30
d 1.935, I 62
d 1.375, I 21
d 1.362, I 19
d 1.172, I 13
d 1.168, I 23
d 1.160, I 10
d 1.121, I 11